# PrUTi2O8
Simulated X-ray diffraction stick pattern, Cu Kα. Input: a structure optimized by DFT (GGA-PBE).
Intensities are scaled so that the largest is 1000.

Principal peaks in the range 10 to 80 degrees two-theta, low angle first:
h k l  2theta  d [Å]  Rel. int.
1 0 1  18.78  4.726  498
1 1 2  28.97  3.082  1000
0 0 4  31.72  2.821  147
2 0 0  34.46  2.602  196
2 1 1  39.53  2.280  191
2 0 4  47.54  1.913  305
2 2 0  49.54  1.840  144
1 1 6  54.82  1.675  170
1 3 2  58.41  1.580  282
2 2 4  60.04  1.541  148

Structure:
```
data_PrUTi2O8
_chemical_formula_sum 'Pr2 U2 Ti4 O16'
_symmetry_space_group_name_H-M 'I -4'
_symmetry_Int_Tables_number 82
_cell_length_a 5.205
_cell_length_b 5.205
_cell_length_c 11.283
_cell_angle_alpha 90.00
_cell_angle_beta 90.00
_cell_angle_gamma 90.00
loop_
_symmetry_equiv_pos_as_xyz
'x,y,z'
'y,-x,-z'
'-x,-y,z'
'-y,x,-z'
'x+1/2,y+1/2,z+1/2'
'y+1/2,-x+1/2,-z+1/2'
'-x+1/2,-y+1/2,z+1/2'
'-y+1/2,x+1/2,-z+1/2'
loop_
_atom_site_label
_atom_site_type_symbol
_atom_site_fract_x
_atom_site_fract_y
_atom_site_fract_z
_atom_site_occupancy
Pr1 Pr 0.000 0.000 0.000 1
U1 U 0.000 0.500 0.750 1
Ti1 Ti 0.000 0.000 0.500 1
Ti2 Ti 0.000 0.500 0.250 1
O1 O 0.155 0.256 0.589 1
O2 O 0.179 0.762 0.174 1
```